Entry 1:
The following is a simulated powder diffraction line list of Sr2La2MgRu3O12. It was derived from the GGA-PBE geometry in Alexandria, using Cu Kα (λ = 1.5418 Å).
Kinematic intensities with the Lorentz-polarization factor, no thermal factor.

Atomic structure:
a = 16.0110 Å, b = 5.5907 Å, c = 5.6466 Å
α = 90.00°, β = 90.27°, γ = 90.00°
Fractional coordinates of all 40 atoms:
Sr  0.1237  0.0062  0.0373
Sr  0.1237  0.4938  0.5373
Sr  0.8763  0.5062  0.4627
Sr  0.8763  0.9938  0.9627
La  0.3839  0.5094  0.4600
La  0.3839  0.9906  0.9600
La  0.6161  0.0094  0.0400
La  0.6161  0.4906  0.5400
Mg  0.5000  0.0000  0.5000
Mg  0.5000  0.5000  0.0000
Ru  0.0000  0.0000  0.5000
Ru  0.0000  0.5000  0.0000
Ru  0.2487  0.0049  0.5039
Ru  0.2487  0.4951  0.0039
Ru  0.7513  0.5049  0.9961
Ru  0.7513  0.9951  0.4961
O  0.0176  0.2145  0.7847
O  0.0176  0.2855  0.2847
O  0.1238  0.5662  0.9918
O  0.1238  0.9338  0.4918
O  0.2310  0.2107  0.7907
O  0.2310  0.2893  0.2907
O  0.2730  0.7119  0.7163
O  0.2730  0.7881  0.2163
O  0.3703  0.0757  0.5198
O  0.3703  0.4243  0.0198
O  0.4826  0.6967  0.6961
O  0.4826  0.8033  0.1961
O  0.5174  0.1967  0.8039
O  0.5174  0.3033  0.3039
O  0.6297  0.5757  0.9802
O  0.6297  0.9243  0.4802
O  0.7270  0.2119  0.7837
O  0.7270  0.2881  0.2837
O  0.7690  0.7107  0.7093
O  0.7690  0.7893  0.2093
O  0.8762  0.0662  0.5082
O  0.8762  0.4338  0.0082
O  0.9824  0.7145  0.7153
O  0.9824  0.7855  0.2153

The 12 most intense peaks (10 to 90 degrees two-theta), in order of falling intensity:
two_theta, d [Å], I_rel
31.68, 2.824, 100
31.79, 2.815, 73
45.67, 1.986, 38
56.55, 1.627, 35
32.02, 2.795, 35
45.31, 2.001, 21
23.06, 3.857, 17
56.85, 1.620, 16
56.92, 1.618, 16
24.99, 3.563, 13
66.18, 1.412, 12
66.42, 1.408, 12

---

Entry 2:
The following is a simulated powder diffraction line list of Sr2La2MgRuO8. It was derived from the GGA-PBE geometry in Alexandria, using Cu Kα (λ = 1.5418 Å).
Kinematic intensities with the Lorentz-polarization factor, no thermal factor.

Atomic structure:
a = 6.9455 Å, b = 6.9455 Å, c = 15.7793 Å
α = 106.66°, β = 106.66°, γ = 32.72°
Fractional coordinates of all 28 atoms:
Sr  0.1442  0.1442  0.2824
Sr  0.1471  0.1471  0.5360
Sr  0.8529  0.8529  0.4640
Sr  0.8558  0.8558  0.7176
La  0.1367  0.1367  0.0362
La  0.1413  0.1413  0.7930
La  0.8587  0.8587  0.2070
La  0.8633  0.8633  0.9638
Mg  0.4969  0.4969  0.8746
Mg  0.5031  0.5031  0.1254
Ru  0.5000  0.5000  0.3750
Ru  0.5000  0.5000  0.6250
O  0.0027  0.0027  0.6268
O  0.0055  0.0055  0.8763
O  0.3208  0.3208  0.0849
O  0.3236  0.3236  0.8405
O  0.3363  0.3363  0.3251
O  0.3364  0.3364  0.5829
O  0.4994  0.4994  0.7486
O  0.5000  0.5000  0.0000
O  0.5000  0.5000  0.5000
O  0.5006  0.5006  0.2514
O  0.6636  0.6636  0.4171
O  0.6637  0.6637  0.6749
O  0.6764  0.6764  0.1595
O  0.6792  0.6792  0.9151
O  0.9945  0.9945  0.1237
O  0.9973  0.9973  0.3732

The 12 most intense peaks (10 to 90 degrees two-theta), in order of falling intensity:
two_theta, d [Å], I_rel
32.22, 2.778, 100
31.10, 2.876, 73
30.97, 2.888, 71
56.84, 1.620, 27
46.41, 1.956, 27
46.02, 1.972, 26
43.20, 2.094, 18
42.65, 2.120, 18
43.29, 2.090, 17
42.37, 2.133, 16
67.42, 1.389, 15
56.64, 1.625, 14

---

Entry 3:
The following is a simulated powder diffraction line list of Sr2La2MgRuO8. It was derived from the GGA-PBE geometry in Alexandria, using Cu Kα (λ = 1.5418 Å).
Kinematic intensities with the Lorentz-polarization factor, no thermal factor.

Atomic structure:
a = 3.9010 Å, b = 3.9010 Å, c = 12.7456 Å
α = 90.00°, β = 90.00°, γ = 90.00°
Fractional coordinates of all 14 atoms:
Sr  0.0000  0.0000  0.1462
Sr  0.0000  0.0000  0.8538
La  0.5000  0.5000  0.3633
La  0.5000  0.5000  0.6367
Mg  0.0000  0.0000  0.5000
Ru  0.5000  0.5000  0.0000
O  0.0000  0.0000  0.3299
O  0.0000  0.0000  0.6701
O  0.0000  0.5000  0.0000
O  0.0000  0.5000  0.5000
O  0.5000  0.0000  0.0000
O  0.5000  0.0000  0.5000
O  0.5000  0.5000  0.1673
O  0.5000  0.5000  0.8327

The 12 most intense peaks (10 to 90 degrees two-theta), in order of falling intensity:
two_theta, d [Å], I_rel
31.13, 2.873, 100
32.46, 2.758, 73
46.56, 1.950, 38
57.07, 1.614, 37
43.39, 2.086, 27
77.35, 1.234, 19
42.36, 2.134, 18
67.96, 1.379, 18
22.80, 3.901, 16
54.52, 1.683, 15
23.85, 3.730, 14
64.90, 1.437, 13

---

Entry 4:
The following is a simulated powder diffraction line list of SrLaMgRuO6. It was derived from the GGA-PBE geometry in Alexandria, using Cu Kα (λ = 1.5418 Å).
Kinematic intensities with the Lorentz-polarization factor, no thermal factor.

Atomic structure:
a = 5.6159 Å, b = 5.6717 Å, c = 9.7246 Å
α = 90.00°, β = 125.16°, γ = 90.00°
Fractional coordinates of all 20 atoms:
Sr  0.0000  0.2173  0.0000
Sr  0.0000  0.7827  0.5000
La  0.5133  0.2914  0.4990
La  0.5133  0.7086  0.9990
Mg  0.2558  0.2458  0.7498
Mg  0.2558  0.7542  0.2498
Ru  0.7558  0.2493  0.2502
Ru  0.7558  0.7507  0.7502
O  0.0807  0.2370  0.4940
O  0.0807  0.7630  0.9940
O  0.4489  0.2708  0.0068
O  0.4489  0.7292  0.5068
O  0.5130  0.0471  0.2909
O  0.5130  0.9529  0.7909
O  0.5802  0.4766  0.7878
O  0.5802  0.5234  0.2878
O  0.9150  0.0345  0.7091
O  0.9150  0.9655  0.2091
O  0.9948  0.4638  0.2156
O  0.9948  0.5362  0.7156

The 12 most intense peaks (10 to 90 degrees two-theta), in order of falling intensity:
two_theta, d [Å], I_rel
31.77, 2.816, 100
45.46, 1.995, 29
56.72, 1.623, 29
31.87, 2.808, 25
31.55, 2.836, 23
19.35, 4.588, 16
45.64, 1.988, 16
19.22, 4.617, 16
56.32, 1.633, 15
75.60, 1.258, 12
37.49, 2.399, 12
56.54, 1.628, 10

---

Entry 5:
The following is a simulated powder diffraction line list of Sr2La2MgRu3O12. It was derived from the GGA-PBE geometry in Alexandria, using Cu Kα (λ = 1.5418 Å).
Kinematic intensities with the Lorentz-polarization factor, no thermal factor.

Atomic structure:
a = 5.6090 Å, b = 5.6732 Å, c = 7.9478 Å
α = 89.70°, β = 89.97°, γ = 89.96°
Fractional coordinates of all 20 atoms:
Sr  0.0000  0.0000  0.0000
Sr  0.4952  0.4254  0.4895
La  0.4853  0.5026  0.0016
La  0.9780  0.9144  0.4868
Mg  0.9915  0.4570  0.2446
Ru  0.4901  0.9629  0.7449
Ru  0.4918  0.9623  0.2444
Ru  0.9902  0.4618  0.7450
O  0.0536  0.4820  0.5005
O  0.2040  0.7465  0.7866
O  0.2151  0.7476  0.2122
O  0.2892  0.2590  0.7874
O  0.2904  0.2486  0.2044
O  0.4084  0.9724  0.4930
O  0.5618  0.9417  0.9961
O  0.7024  0.6749  0.7038
O  0.7055  0.6844  0.2797
O  0.7783  0.1646  0.2840
O  0.7895  0.1656  0.7020
O  0.9109  0.4488  0.9896

The 12 most intense peaks (10 to 90 degrees two-theta), in order of falling intensity:
two_theta, d [Å], I_rel
31.87, 2.808, 100
31.73, 2.820, 64
56.75, 1.622, 36
45.48, 1.994, 35
31.54, 2.837, 31
45.66, 1.987, 20
56.42, 1.631, 17
56.82, 1.620, 15
24.94, 3.570, 11
66.56, 1.405, 11
75.52, 1.259, 9
56.20, 1.637, 9

---

Entry 6:
The following is a simulated powder diffraction line list of La2MgSbO6. It was derived from the GGA-PBE geometry in Alexandria, using Cu Kα (λ = 1.5418 Å).
Kinematic intensities with the Lorentz-polarization factor, no thermal factor.

Atomic structure:
a = 5.7463 Å, b = 5.7463 Å, c = 5.7463 Å
α = 61.18°, β = 61.18°, γ = 61.18°
Fractional coordinates of all 10 atoms:
La  0.2443  0.2443  0.2443
La  0.7557  0.7557  0.7557
Mg  0.0000  0.0000  0.0000
Sb  0.5000  0.5000  0.5000
O  0.1527  0.7586  0.3429
O  0.2414  0.6571  0.8473
O  0.3429  0.1527  0.7586
O  0.6571  0.8473  0.2414
O  0.7586  0.3429  0.1527
O  0.8473  0.2414  0.6571

The 12 most intense peaks (10 to 90 degrees two-theta), in order of falling intensity:
two_theta, d [Å], I_rel
31.14, 2.872, 100
30.57, 2.924, 95
44.20, 2.049, 54
54.70, 1.678, 43
54.34, 1.688, 28
55.76, 1.649, 19
73.46, 1.289, 17
36.29, 2.475, 17
21.69, 4.098, 16
72.55, 1.303, 16
64.93, 1.436, 16
18.64, 4.761, 15

---

Entry 7:
The following is a simulated powder diffraction line list of SrLaMgTaO6. It was derived from the GGA-PBE geometry in Alexandria, using Cu Kα (λ = 1.5418 Å).
Kinematic intensities with the Lorentz-polarization factor, no thermal factor.

Atomic structure:
a = 5.6646 Å, b = 5.7347 Å, c = 9.8296 Å
α = 90.00°, β = 125.20°, γ = 90.00°
Fractional coordinates of all 20 atoms:
Sr  0.0000  0.2208  0.0000
Sr  0.0000  0.7792  0.5000
La  0.4872  0.2917  0.5023
La  0.4872  0.7083  0.0023
Mg  0.7437  0.2475  0.2499
Mg  0.7437  0.7525  0.7499
Ta  0.2438  0.2465  0.7500
Ta  0.2438  0.7535  0.2500
O  0.0052  0.4622  0.7845
O  0.0052  0.5378  0.2845
O  0.0902  0.0376  0.2940
O  0.0902  0.9624  0.7940
O  0.4179  0.4795  0.2090
O  0.4179  0.5205  0.7090
O  0.4852  0.0471  0.7059
O  0.4852  0.9529  0.2059
O  0.5533  0.2736  0.9928
O  0.5533  0.7264  0.4928
O  0.9125  0.2320  0.5061
O  0.9125  0.7680  0.0061

The 12 most intense peaks (10 to 90 degrees two-theta), in order of falling intensity:
two_theta, d [Å], I_rel
31.45, 2.845, 100
56.16, 1.638, 34
19.01, 4.667, 30
19.17, 4.629, 29
44.99, 2.015, 27
31.59, 2.832, 24
31.19, 2.867, 24
37.12, 2.422, 22
55.67, 1.651, 17
65.64, 1.422, 15
45.15, 2.008, 15
74.73, 1.270, 12

---

Entry 8:
The following is a simulated powder diffraction line list of Sr2La2MgTi3O12. It was derived from the GGA-PBE geometry in Alexandria, using Cu Kα (λ = 1.5418 Å).
Kinematic intensities with the Lorentz-polarization factor, no thermal factor.

Atomic structure:
a = 5.5987 Å, b = 5.6147 Å, c = 7.8975 Å
α = 89.91°, β = 89.99°, γ = 89.85°
Fractional coordinates of all 20 atoms:
Sr  0.0000  0.0000  0.0000
Sr  0.4996  0.4611  0.4890
La  0.0043  0.9559  0.4838
La  0.5128  0.5162  0.0063
Mg  0.5019  0.9815  0.2456
Ti  0.0034  0.4751  0.2473
Ti  0.0060  0.4896  0.7460
Ti  0.5018  0.9957  0.7464
O  0.0753  0.4659  0.9898
O  0.2085  0.1990  0.2801
O  0.2210  0.1928  0.7088
O  0.2652  0.6955  0.2731
O  0.2653  0.7007  0.7101
O  0.4481  0.9535  0.9832
O  0.5775  0.9813  0.5065
O  0.7200  0.2552  0.7827
O  0.7260  0.2694  0.2078
O  0.7746  0.7393  0.7776
O  0.7827  0.7429  0.2160
O  0.9464  0.4831  0.4982

The 12 most intense peaks (10 to 90 degrees two-theta), in order of falling intensity:
two_theta, d [Å], I_rel
32.00, 2.797, 100
31.93, 2.803, 96
56.97, 1.616, 34
57.07, 1.614, 28
22.43, 3.964, 24
39.46, 2.284, 24
39.38, 2.288, 23
45.84, 1.980, 22
45.97, 1.974, 22
45.71, 1.985, 22
66.84, 1.400, 17
56.85, 1.620, 16

---

Entry 9:
The following is a simulated powder diffraction line list of LaMgTc2O8. It was derived from the GGA-PBE geometry in Alexandria, using Cu Kα (λ = 1.5418 Å).
Kinematic intensities with the Lorentz-polarization factor, no thermal factor.

Atomic structure:
a = 5.7598 Å, b = 5.7598 Å, c = 6.7033 Å
α = 90.00°, β = 90.00°, γ = 120.00°
Fractional coordinates of all 12 atoms:
La  0.0000  0.0000  0.0000
Mg  0.0000  0.0000  0.5000
Tc  0.3333  0.6667  0.2285
Tc  0.6667  0.3333  0.7715
O  0.1557  0.3114  0.2926
O  0.1557  0.8443  0.2926
O  0.3114  0.1557  0.7074
O  0.3333  0.6667  0.9618
O  0.6667  0.3333  0.0382
O  0.6886  0.8443  0.2926
O  0.8443  0.1557  0.7074
O  0.8443  0.6886  0.7074

The 12 most intense peaks (10 to 90 degrees two-theta), in order of falling intensity:
two_theta, d [Å], I_rel
22.21, 4.002, 100
31.05, 2.880, 68
32.18, 2.782, 46
45.32, 2.001, 30
64.71, 1.440, 27
13.21, 6.703, 27
33.88, 2.646, 26
50.27, 1.815, 24
44.43, 2.039, 23
55.96, 1.643, 23
55.23, 1.663, 18
64.31, 1.448, 14

---

Entry 10:
The following is a simulated powder diffraction line list of La2MgZr2O8. It was derived from the GGA-PBE geometry in Alexandria, using Cu Kα (λ = 1.5418 Å).
Kinematic intensities with the Lorentz-polarization factor, no thermal factor.

Atomic structure:
a = 6.7330 Å, b = 6.7330 Å, c = 6.7330 Å
α = 131.54°, β = 131.54°, γ = 70.96°
Fractional coordinates of all 13 atoms:
La  0.0000  0.5000  0.5000
La  0.5000  0.0000  0.5000
Mg  0.0000  0.0000  0.0000
Zr  0.2803  0.2803  0.0000
Zr  0.7197  0.7197  0.0000
O  0.1144  0.1144  0.4911
O  0.1144  0.6234  0.0000
O  0.3766  0.3766  0.4911
O  0.3766  0.8856  0.0000
O  0.6234  0.1144  0.0000
O  0.6234  0.6234  0.5089
O  0.8856  0.3766  0.0000
O  0.8856  0.8856  0.5089

The 12 most intense peaks (10 to 90 degrees two-theta), in order of falling intensity:
two_theta, d [Å], I_rel
28.04, 3.182, 100
46.67, 1.946, 42
55.16, 1.665, 30
46.48, 1.954, 26
32.40, 2.763, 24
86.36, 1.127, 13
55.51, 1.656, 9
32.66, 2.741, 8
29.29, 3.049, 8
57.96, 1.591, 8
67.83, 1.382, 8
75.23, 1.263, 7

---

Entry 11:
The following is a simulated powder diffraction line list of La2MgOs2. It was derived from the GGA-PBE geometry in Alexandria, using Cu Kα (λ = 1.5418 Å).
Kinematic intensities with the Lorentz-polarization factor, no thermal factor.

Atomic structure:
a = 5.8957 Å, b = 5.8957 Å, c = 8.4691 Å
α = 104.90°, β = 104.90°, γ = 57.65°
Fractional coordinates of all 10 atoms:
La  0.0015  0.7045  0.8560
La  0.2955  0.9985  0.6440
La  0.7045  0.0015  0.3560
La  0.9985  0.2955  0.1440
Mg  0.3856  0.6144  0.2500
Mg  0.6144  0.3856  0.7500
Os  0.1925  0.5151  0.4800
Os  0.4849  0.8075  0.0200
Os  0.5151  0.1925  0.9800
Os  0.8075  0.4849  0.5200

The 12 most intense peaks (10 to 90 degrees two-theta), in order of falling intensity:
two_theta, d [Å], I_rel
36.54, 2.459, 100
19.67, 4.512, 72
39.77, 2.267, 71
35.51, 2.528, 63
36.39, 2.469, 54
32.46, 2.759, 52
21.96, 4.048, 49
40.39, 2.233, 44
36.65, 2.452, 41
33.41, 2.682, 36
33.56, 2.671, 34
23.99, 3.709, 33